Calculated X-ray diffraction stick pattern
Compound: ZnFeSiO5
Radiation: CuKα
Structure: a crystal structure in the Materials Project, relaxed with GGA+U
No peak broadening, texture or thermal motion is included.

Main lines, most intense first (15 to 90 degrees two-theta):
d = 3.226 Å, 2θ 27.65, I 100
d = 3.263 Å, 2θ 27.33, I 99
d = 2.499 Å, 2θ 35.93, I 56
d = 1.781 Å, 2θ 51.30, I 24
d = 4.935 Å, 2θ 17.97, I 21
d = 1.686 Å, 2θ 54.42, I 19
d = 2.483 Å, 2θ 36.18, I 18
d = 1.684 Å, 2θ 54.51, I 18
d = 1.453 Å, 2θ 64.08, I 16
d = 1.480 Å, 2θ 62.79, I 14

Crystal structure
abc: 5.471 5.482 7.125
angles: 108.58 108.56 95.92
Fractional coordinates of all 16 atoms:
Zn  0.000  0.000  0.000
Zn  0.325  0.580  0.499
Fe  0.663  0.293  0.755
Fe  0.665  0.291  0.255
Si  0.029  0.955  0.511
Si  0.299  0.630  0.000
O  0.355  0.981  0.602
O  0.371  0.959  0.112
O  0.386  0.489  0.175
O  0.412  0.527  0.809
O  0.589  0.372  0.506
O  0.738  0.210  0.004
O  0.915  0.056  0.702
O  0.944  0.099  0.338
O  0.956  0.627  0.397
O  0.973  0.603  0.909

---

Calculated X-ray diffraction stick pattern
Compound: Li4Ti3Mn3Sn2O16
Radiation: CuKα
Structure: a crystal structure in the Materials Project, relaxed with GGA+U
No peak broadening, texture or thermal motion is included.

Main lines, most intense first (15 to 90 degrees two-theta):
d = 4.628 Å, 2θ 19.18, I 100
d = 4.556 Å, 2θ 19.48, I 63
d = 2.553 Å, 2θ 35.15, I 47
d = 2.639 Å, 2θ 33.96, I 36
d = 2.746 Å, 2θ 32.61, I 36
d = 4.781 Å, 2θ 18.56, I 36
d = 1.528 Å, 2θ 60.61, I 34
d = 2.545 Å, 2θ 35.26, I 32
d = 1.553 Å, 2θ 59.52, I 29
d = 3.539 Å, 2θ 25.17, I 27

Crystal structure
abc: 6.118 6.118 9.848
angles: 92.15 92.15 58.17
Fractional coordinates of all 28 atoms:
Li  0.000  0.000  0.000
Li  0.007  0.007  0.501
Li  0.345  0.345  0.597
Li  0.673  0.673  0.097
Ti  0.171  0.665  0.278
Ti  0.665  0.171  0.278
Ti  0.837  0.837  0.774
Mn  0.174  0.174  0.279
Mn  0.345  0.837  0.780
Mn  0.837  0.345  0.780
Sn  0.334  0.334  0.001
Sn  0.670  0.670  0.503
O  0.004  0.004  0.689
O  0.042  0.506  0.149
O  0.151  0.670  0.892
O  0.158  0.158  0.898
O  0.327  0.829  0.396
O  0.355  0.355  0.387
O  0.486  0.486  0.158
O  0.506  0.042  0.149
O  0.528  0.528  0.657
O  0.539  0.977  0.648
O  0.670  0.151  0.892
O  0.674  0.674  0.880
O  0.829  0.327  0.396
O  0.840  0.840  0.387
O  0.977  0.539  0.648
O  0.993  0.993  0.185

---

Calculated X-ray diffraction stick pattern
Compound: Li3TiMn4O8
Radiation: CuKα
Structure: a crystal structure in the Materials Project, relaxed with GGA+U
No peak broadening, texture or thermal motion is included.

Main lines, most intense first (15 to 90 degrees two-theta):
d = 4.980 Å, 2θ 17.81, I 100
d = 2.213 Å, 2θ 40.78, I 74
d = 2.160 Å, 2θ 41.82, I 69
d = 2.147 Å, 2θ 42.09, I 67
d = 1.549 Å, 2θ 59.68, I 39
d = 5.030 Å, 2θ 17.63, I 36
d = 2.517 Å, 2θ 35.67, I 33
d = 1.541 Å, 2θ 60.02, I 19
d = 1.533 Å, 2θ 60.37, I 19
d = 1.528 Å, 2θ 60.58, I 19

Crystal structure
abc: 6.114 6.136 10.603
angles: 74.97 73.48 60.46
Fractional coordinates of all 32 atoms:
Li  0.000  0.000  0.000
Li  0.243  0.235  0.765
Li  0.250  0.750  0.249
Li  0.500  0.500  0.500
Li  0.750  0.250  0.751
Li  0.757  0.765  0.235
Ti  0.000  0.500  0.000
Ti  0.500  0.000  0.500
Mn  0.000  0.000  0.500
Mn  0.000  0.500  0.500
Mn  0.243  0.255  0.252
Mn  0.250  0.757  0.751
Mn  0.500  0.000  0.000
Mn  0.500  0.500  0.000
Mn  0.750  0.243  0.249
Mn  0.757  0.745  0.748
O  0.113  0.668  0.614
O  0.114  0.612  0.117
O  0.128  0.141  0.109
O  0.162  0.124  0.623
O  0.344  0.391  0.878
O  0.351  0.892  0.393
O  0.387  0.877  0.880
O  0.390  0.342  0.386
O  0.610  0.658  0.614
O  0.613  0.123  0.120
O  0.649  0.108  0.607
O  0.656  0.609  0.122
O  0.838  0.876  0.377
O  0.872  0.859  0.891
O  0.886  0.388  0.883
O  0.887  0.332  0.386